No. 1
The following is a calculated X-ray diffraction stick pattern of Sr5W. It was derived from a crystal structure in Alexandria, relaxed with PBE, using λ = 1.5418 Å (Cu Kα).

Structure:
Cell lengths 14.121, 4.018, 10.045 Å; angles 90.00, 112.48, 90.00 degrees
Space group C2/m (No. 12)
One atom of each set of equivalent atoms:
Sr 0.000 0.000 0.000 (multiplicity 2)
Sr 0.128 0.500 0.374 (multiplicity 4)
Sr 0.162 0.500 0.774 (multiplicity 4)
W 0.000 0.000 0.500 (multiplicity 2)

Main lines, low angle first (2θ = 5–70°):
2theta	intensity	h k l
9.53	75.7	0 0 1
13.57	32.8	2 0 0
26.73	46.5	4 0 -2
27.52	61.7	2 0 2
28.45	99.3	1 1 -2
30.28	100.0	3 1 0

No. 2
The following is a calculated X-ray diffraction stick pattern of Pm2Nd5In4. It was derived from a crystal structure in Alexandria, relaxed with PBE, using λ = 1.5418 Å (Cu Kα).

Structure:
Cell lengths 8.826, 3.506, 10.796 Å; angles 90.00, 95.59, 90.00 degrees
Space group P2/m (No. 10)
One atom of each set of equivalent atoms:
Pm 0.082 0.000 0.137 (multiplicity 2)
Nd 0.159 0.000 0.641 (multiplicity 2)
Nd 0.459 0.000 0.166 (multiplicity 2)
Nd 0.500 0.000 0.500 (multiplicity 1)
In 0.201 0.500 0.379 (multiplicity 2)
In 0.248 0.500 0.922 (multiplicity 2)

Main lines, low angle first (2θ = 5–70°):
2theta	intensity	h k l
30.52	29.5	3 0 0
31.61	40.9	1 1 -2
32.68	100.0	1 1 2
33.38	43.0	0 0 4
35.86	39.7	2 1 -2
57.85	24.3	0 1 6

No. 3
The following is a calculated X-ray diffraction stick pattern of La2CdGa4Pd3. It was derived from a crystal structure in Alexandria, relaxed with PBE, using λ = 1.5418 Å (Cu Kα).

Structure:
Cell lengths 4.372, 4.372, 10.814 Å; angles 90.00, 90.00, 90.00 degrees
Space group P-4m2 (No. 115)
One atom of each set of equivalent atoms:
La 0.000 0.500 0.237 (multiplicity 2)
Cd 0.000 0.000 0.500 (multiplicity 1)
Ga 0.000 0.000 0.000 (multiplicity 1)
Ga 0.000 0.500 0.643 (multiplicity 2)
Ga 0.500 0.500 0.000 (multiplicity 1)
Pd 0.000 0.500 0.874 (multiplicity 2)
Pd 0.500 0.500 0.500 (multiplicity 1)

Main lines, low angle first (2θ = 5–70°):
2theta	intensity	h k l
32.18	55.8	1 0 3
33.39	100.0	1 1 2
41.30	61.5	2 0 0
46.86	25.7	1 0 5
53.30	26.4	2 1 3
59.84	20.6	2 2 0

No. 4
The following is a calculated X-ray diffraction stick pattern of MnCuPb2. It was derived from a crystal structure in Alexandria, relaxed with PBE, using λ = 1.5418 Å (Cu Kα).

Structure:
Cell lengths 3.778, 4.270, 5.634 Å; angles 90.00, 109.54, 90.00 degrees
Space group Pm (No. 6)
One atom of each set of equivalent atoms:
Mn 0.000 0.000 0.000 (multiplicity 1)
Cu 0.853 0.500 0.709 (multiplicity 1)
Pb 0.278 0.000 0.557 (multiplicity 1)
Pb 0.568 0.500 0.137 (multiplicity 1)

Main lines, low angle first (2θ = 5–70°):
2theta	intensity	h k l
26.79	50.4	0 1 1
32.76	100.0	1 1 0
34.73	48.1	1 0 -2
40.83	31.3	1 1 1
42.33	24.8	0 2 0
55.87	25.2	1 2 -2

No. 5
The following is a calculated X-ray diffraction stick pattern of DyThZnRh. It was derived from a crystal structure in Alexandria, relaxed with PBE, using λ = 1.5418 Å (Cu Kα).

Structure:
Cell lengths 7.128, 7.128, 7.128 Å; angles 90.00, 90.00, 90.00 degrees
Space group F-43m (No. 216)
One atom of each set of equivalent atoms:
Dy 0.000 0.000 0.000 (multiplicity 4)
Th 0.000 0.000 0.500 (multiplicity 4)
Zn 0.250 0.250 0.250 (multiplicity 4)
Rh 0.250 0.250 0.750 (multiplicity 4)

Main lines, low angle first (2θ = 5–70°):
2theta	intensity	h k l
24.99	16.2	2 0 0
35.63	100.0	2 2 0
44.01	5.1	2 2 2
51.27	17.8	4 0 0
57.85	7.2	4 2 0
63.99	36.4	4 2 2

No. 6
The following is a calculated X-ray diffraction stick pattern of NdSm4Tm7. It was derived from a crystal structure in Alexandria, relaxed with PBE, using λ = 1.5418 Å (Cu Kα).

Structure:
Cell lengths 6.217, 7.156, 8.815 Å; angles 89.93, 76.40, 89.97 degrees
Space group P-1 (No. 2)
One atom of each set of equivalent atoms:
Nd 0.000 0.000 0.000 (multiplicity 1)
Sm 0.222 0.499 0.332 (multiplicity 2)
Sm 0.279 0.751 0.664 (multiplicity 2)
Tm 0.000 0.500 0.000 (multiplicity 1)
Tm 0.222 0.999 0.333 (multiplicity 2)
Tm 0.278 0.249 0.667 (multiplicity 2)
Tm 0.499 0.248 0.999 (multiplicity 2)

Main lines, low angle first (2θ = 5–70°):
2theta	intensity	h k l
28.98	37.3	1 2 0
31.32	49.5	0 0 3
32.03	100.0	2 0 2
33.74	87.5	2 0 -1
50.92	25.6	3 2 1
61.01	29.8	3 2 4

No. 7
The following is a calculated X-ray diffraction stick pattern of PrPPd2Pt2. It was derived from a crystal structure in Alexandria, relaxed with PBE, using λ = 1.5418 Å (Cu Kα).

Structure:
Cell lengths 5.105, 5.105, 10.333 Å; angles 90.00, 90.00, 90.00 degrees
Space group I4/mmm (No. 139)
One atom of each set of equivalent atoms:
Pr 0.000 0.000 0.000 (multiplicity 2)
P 0.000 0.000 0.500 (multiplicity 2)
Pd 0.000 0.500 0.250 (multiplicity 4)
Pt 0.000 0.000 0.290 (multiplicity 4)

Main lines, low angle first (2θ = 5–70°):
2theta	intensity	h k l
17.16	69.7	0 0 2
24.66	47.4	1 1 0
31.33	63.7	1 0 3
35.16	100.0	2 0 0
47.79	40.3	2 1 3
50.25	42.4	2 0 4

No. 8
The following is a calculated X-ray diffraction stick pattern of Al4GeIr. It was derived from a crystal structure in Alexandria, relaxed with PBE, using λ = 1.5418 Å (Cu Kα).

Structure:
Cell lengths 8.502, 8.542, 11.920 Å; angles 90.00, 90.00, 90.00 degrees
Space group Fddd (No. 70, origin choice 2)
One atom of each set of equivalent atoms:
Al 0.114 0.364 0.249 (multiplicity 32)
Ge 0.125 0.125 0.625 (multiplicity 8)
Ir 0.125 0.125 0.125 (multiplicity 8)

Main lines, low angle first (2θ = 5–70°):
2theta	intensity	h k l
16.48	30.7	1 1 1
25.70	100.0	2 0 2
42.67	50.9	2 2 4
50.20	16.4	2 4 2
50.33	16.1	4 2 2
50.70	15.8	0 2 6

No. 9
The following is a calculated X-ray diffraction stick pattern of V2GaNi4. It was derived from a crystal structure in Alexandria, relaxed with PBE, using λ = 1.5418 Å (Cu Kα).

Structure:
Cell lengths 6.077, 4.623, 6.815 Å; angles 90.00, 115.86, 90.00 degrees
Space group P2_1/m (No. 11)
One atom of each set of equivalent atoms:
V 0.158 0.250 0.055 (multiplicity 2)
V 0.282 0.250 0.507 (multiplicity 2)
Ga 0.253 0.750 0.287 (multiplicity 2)
Ni 0.106 0.504 0.723 (multiplicity 4)
Ni 0.440 0.750 0.685 (multiplicity 2)
Ni 0.469 0.750 0.064 (multiplicity 2)

Main lines, low angle first (2θ = 5–70°):
2theta	intensity	h k l
42.48	97.6	1 2 0
44.26	100.0	1 1 2
44.52	49.8	1 1 -3
45.30	60.9	3 0 -1
46.65	55.8	2 1 -3
49.56	57.5	2 2 -1

No. 10
The following is a calculated X-ray diffraction stick pattern of Zn5Ag2Au. It was derived from a crystal structure in Alexandria, relaxed with PBE, using λ = 1.5418 Å (Cu Kα).

Structure:
Cell lengths 6.939, 6.954, 10.858 Å; angles 90.00, 90.00, 90.00 degrees
Space group Ibam (No. 72)
One atom of each set of equivalent atoms:
Zn 0.000 0.000 0.000 (multiplicity 4)
Zn 0.148 0.352 0.170 (multiplicity 16)
Ag 0.146 0.354 0.500 (multiplicity 8)
Au 0.000 0.000 0.250 (multiplicity 4)

Main lines, low angle first (2θ = 5–70°):
2theta	intensity	h k l
24.44	24.3	1 1 2
36.59	17.6	2 2 0
37.87	17.7	1 1 4
38.18	100.0	2 1 3
41.09	82.2	3 1 0
53.68	26.0	1 3 4

No. 11
The following is a calculated X-ray diffraction stick pattern of La2Dy5Y12. It was derived from a crystal structure in Alexandria, relaxed with PBE, using λ = 1.5418 Å (Cu Kα).

Structure:
Cell lengths 6.951, 8.544, 11.221 Å; angles 91.23, 95.90, 102.81 degrees
Space group P1 (No. 1)
One atom of each set of equivalent atoms:
La 0.000 0.000 0.000 (multiplicity 1)
La 0.466 0.966 0.917 (multiplicity 1)
Dy 0.233 0.530 0.595 (multiplicity 1)
Dy 0.234 0.437 0.322 (multiplicity 1)
Dy 0.477 0.098 0.247 (multiplicity 1)
Dy 0.733 0.484 0.460 (multiplicity 1)
Dy 0.990 0.868 0.670 (multiplicity 1)
Y 0.072 0.821 0.385 (multiplicity 1)
Y 0.102 0.588 0.866 (multiplicity 1)
Y 0.218 0.720 0.136 (multiplicity 1)
Y 0.248 0.246 0.781 (multiplicity 1)
Y 0.364 0.379 0.051 (multiplicity 1)
Y 0.394 0.145 0.533 (multiplicity 1)
Y 0.553 0.810 0.453 (multiplicity 1)
Y 0.620 0.608 0.841 (multiplicity 1)
Y 0.695 0.718 0.170 (multiplicity 1)
Y 0.771 0.248 0.747 (multiplicity 1)
Y 0.846 0.358 0.076 (multiplicity 1)
Y 0.914 0.157 0.464 (multiplicity 1)

Main lines, low angle first (2θ = 5–70°):
2theta	intensity	h k l
28.95	52.4	1 1 -3
30.78	100.0	2 1 0
31.73	86.6	2 -2 1
32.91	96.0	0 3 -1
33.04	57.1	0 2 3
33.43	59.5	0 1 -4

No. 12
The following is a calculated X-ray diffraction stick pattern of SrIn2Hg2. It was derived from a crystal structure in Alexandria, relaxed with PBE, using λ = 1.5418 Å (Cu Kα).

Structure:
Cell lengths 5.051, 6.602, 9.394 Å; angles 78.74, 74.53, 67.58 degrees
Space group P-1 (No. 2)
One atom of each set of equivalent atoms:
Sr 0.172 0.365 0.289 (multiplicity 2)
In 0.127 0.060 0.683 (multiplicity 2)
In 0.455 0.199 0.885 (multiplicity 2)
Hg 0.170 0.712 0.950 (multiplicity 2)
Hg 0.410 0.735 0.451 (multiplicity 2)

Main lines, low angle first (2θ = 5–70°):
2theta	intensity	h k l
29.44	48.4	0 2 0
30.75	62.2	1 0 -2
30.90	98.6	-1 1 1
32.01	96.5	1 0 3
33.12	60.9	1 2 -1
35.55	100.0	2 1 1

No. 13
The following is a calculated X-ray diffraction stick pattern of Pr6CuPt2I3. It was derived from a crystal structure in Alexandria, relaxed with PBE, using λ = 1.5418 Å (Cu Kα).

Structure:
Cell lengths 7.447, 12.901, 8.494 Å; angles 90.00, 106.98, 90.00 degrees
Space group C2/m (No. 12)
One atom of each set of equivalent atoms:
Pr 0.227 0.000 0.189 (multiplicity 4)
Pr 0.231 0.332 0.189 (multiplicity 8)
Cu 0.000 0.500 0.000 (multiplicity 2)
Pt 0.000 0.167 0.000 (multiplicity 4)
I 0.000 0.000 0.500 (multiplicity 2)
I 0.000 0.335 0.500 (multiplicity 4)

Main lines, low angle first (2θ = 5–70°):
2theta	intensity	h k l
10.89	17.5	0 0 1
28.08	100.0	1 3 1
38.17	29.1	2 0 2
42.03	38.4	0 6 0
51.31	18.8	4 0 0
68.41	15.7	5 3 -3

No. 14
The following is a calculated X-ray diffraction stick pattern of CsNaCrCl6. It was derived from a crystal structure in Alexandria, relaxed with PBE, using λ = 1.5418 Å (Cu Kα).

Structure:
Cell lengths 6.884, 11.943, 7.428 Å; angles 90.00, 90.05, 90.00 degrees
Space group C2 (No. 5)
One atom of each set of equivalent atoms:
Cs 0.000 0.000 0.000 (multiplicity 2)
Na 0.000 0.334 0.500 (multiplicity 2)
Cr 0.000 0.667 0.500 (multiplicity 2)
Cl 0.126 0.527 0.319 (multiplicity 4)
Cl 0.146 0.799 0.319 (multiplicity 4)
Cl 0.227 0.173 0.319 (multiplicity 4)

Main lines, low angle first (2θ = 5–70°):
2theta	intensity	h k l
14.85	20.0	0 2 0
19.08	100.0	1 1 1
28.56	31.4	2 0 -1
32.34	16.0	2 2 1
35.54	48.8	1 3 -2
41.86	26.2	3 1 1